Simulated XRD peak list of Ca3Cr3As4O16 for CuKα, from a crystal structure in Alexandria, relaxed with GGA+U.

Structure:
```
52
Lattice="9.333 0.000 0.000 0.000 5.236 0.000 -7.790 0.000 15.461" Properties=species:S:1:pos:R:3 pbc="T T T"
Ca 0.000 0.000 0.000
Ca -3.895 2.618 7.730
Ca 0.696 0.150 4.137
Ca -3.199 2.468 11.868
Ca 4.742 2.768 3.593
Ca 0.847 5.086 11.323
Cr -1.021 2.707 5.874
Cr -4.916 5.146 13.604
Cr 0.772 0.000 7.730
Cr 4.666 2.618 0.000
Cr 6.459 0.089 1.856
Cr 2.564 2.529 9.587
As -0.866 2.672 2.416
As -4.761 5.181 10.146
As -0.607 2.654 9.255
As 3.288 5.200 1.525
As -1.745 0.036 13.936
As 2.150 2.582 6.205
As 6.304 0.054 5.315
As 2.409 2.564 13.045
O -4.662 3.460 9.933
O -0.767 4.393 2.202
O -3.731 0.813 9.130
O 0.164 1.805 1.400
O -5.261 3.056 13.165
O -1.366 4.797 5.434
O -4.182 0.295 11.751
O -0.287 2.323 4.021
O -1.576 2.875 7.853
O 2.319 4.979 0.122
O -3.171 1.056 14.146
O 0.724 1.562 6.416
O -1.370 3.164 10.664
O 2.525 4.690 2.933
O -2.404 3.675 13.837
O 1.491 4.179 6.107
O 0.052 1.057 9.354
O 3.947 1.561 1.624
O -0.982 0.546 12.527
O 2.913 2.072 4.797
O 0.819 3.674 9.045
O 4.714 4.180 1.315
O -0.776 0.257 15.338
O 3.119 2.361 7.608
O 1.830 2.913 11.440
O 5.725 4.941 3.709
O 2.909 0.438 10.026
O 6.804 2.179 2.296
O 1.379 3.431 14.060
O 5.274 4.423 6.330
O 2.310 0.843 13.258
O 6.205 1.775 5.528
```

Most intense lines, 2θ from 15° to 90°, most intense first:
2θ 33.64, rel. 100, (3 1 -3)
2θ 25.86, rel. 70, (2 1 -1)
2θ 29.55, rel. 66, (1 1 3)
2θ 34.25, rel. 58, (0 2 0)
2θ 31.05, rel. 39, (1 1 -5)
2θ 23.12, rel. 36, (1 1 -3)
2θ 60.95, rel. 30, (3 3 -3)
2θ 21.32, rel. 30, (2 0 0)
2θ 17.89, rel. 26, (0 1 1)
2θ 23.01, rel. 25, (0 0 4)